Record 1
Sr6Au2N: theoretical powder XRD pattern (Cu Kα X-rays), based on a structure optimized by DFT (PBE).

Structural model:
a = 7.3088 Å, b = 8.1103 Å, c = 12.5517 Å
α = 90.00°, β = 123.91°, γ = 90.00°
Space group P2_1/c (No. 14)
Symmetry-distinct sites (fractional):
Sr1 0.1147 0.0328 0.2349 [4 per cell]
Sr2 0.2124 0.7103 0.0583 [4 per cell]
Sr3 0.3538 0.1625 0.0559 [4 per cell]
Au1 0.2914 0.1030 0.7525 [4 per cell]
N1 0.0000 0.0000 0.0000 [2 per cell]

Largest 10 diffraction maxima, in order of rising 2θ, 2θ = 15–90°:
- hkl 1 1 -1, 16.33°, intensity 53
- hkl 0 0 2, 17.02°, intensity 43
- hkl 1 1 0, 18.26°, intensity 39
- hkl 0 2 2, 27.89°, intensity 96
- hkl 2 1 -3, 28.35°, intensity 49
- hkl 2 0 0, 29.45°, intensity 38
- hkl 2 0 -4, 30.28°, intensity 100
- hkl 1 1 -4, 30.87°, intensity 41
- hkl 0 2 3, 33.98°, intensity 88
- hkl 1 3 0, 36.39°, intensity 56

Record 2
Cs5CoCl8: theoretical powder XRD pattern (Cu Kα X-rays), based on a structure optimized by DFT (PBE).

Structural model:
a = 10.1275 Å, b = 10.1275 Å, c = 11.5254 Å
α = 90.00°, β = 90.00°, γ = 90.00°
Space group I-4 (No. 82)
Symmetry-distinct sites (fractional):
Cs1 0.0000 0.0000 0.0000 [2 per cell]
Cs2 0.1348 0.7126 0.3937 [8 per cell]
Co1 0.0000 0.5000 0.7500 [2 per cell]
Cl1 0.0282 0.7042 0.6999 [8 per cell]
Cl2 0.1133 0.7011 0.0952 [8 per cell]

Largest 10 diffraction maxima, in order of rising 2θ, 2θ = 15–90°:
- hkl 1 1 2, 19.77°, intensity 51
- hkl 1 2 1, 21.08°, intensity 100
- hkl 1 0 3, 24.79°, intensity 60
- hkl 3 0 1, 27.53°, intensity 32
- hkl 3 1 0, 27.86°, intensity 58
- hkl 2 1 3, 30.51°, intensity 27
- hkl 2 3 1, 32.82°, intensity 19
- hkl 3 0 3, 35.40°, intensity 20
- hkl 2 0 4, 35.86°, intensity 25
- hkl 2 4 0, 39.77°, intensity 53